Simulated X-ray powder pattern of K2SnAsO for Cu Ka, from a DFT-relaxed cell (GGA-PBE, Alexandria).
Lines closer than 0.1° are merged.

The 6 most intense peaks (2θ from 10° to 90°), low angle first:
h k l, Position (°2θ), I (rel.)
0 0 1, 11.0, 100.0
1 0 0, 13.2, 75.6
1 0 2, 28.1, 50.7
2 1 -1, 31.5, 91.2
0 2 0, 33.8, 61.5
1 1 -3, 37.5, 51.3

Cell and atoms:
Cell: 6.878 5.310 8.221 Å, 90.00 102.01 90.00°
Fractional coordinates of all 10 atoms:
K  0.033  0.250  0.382
K  0.249  0.250  0.899
K  0.751  0.750  0.101
K  0.967  0.750  0.618
Sn  0.380  0.750  0.358
Sn  0.620  0.250  0.642
As  0.494  0.750  0.707
As  0.506  0.250  0.293
O  0.081  0.750  0.317
O  0.919  0.250  0.683